For La2ZnNi2, DFT lattice parameters and positions (GGA-PBE) gives the theoretical powder XRD pattern in this record (Cu Kα X-rays).
No peak broadening, texture or thermal motion is included.

Top 10 peaks for 10° ≤ 2θ ≤ 90°, in order of rising 2θ:
25.85°, d 3.446, I = 41.9; 33.51°, d 2.674, I = 100.0; 35.60°, d 2.522, I = 39.8; 37.86°, d 2.376, I = 32.2; 38.66°, d 2.329, I = 29.3; 39.77°, d 2.267, I = 57.9; 41.18°, d 2.192, I = 35.9; 55.55°, d 1.654, I = 21.8; 57.75°, d 1.596, I = 17.7; 68.15°, d 1.376, I = 30.7

Structural model:
```
5
Lattice="-2.192 2.787 4.241 2.192 -2.787 4.241 2.192 2.787 -4.241" Properties=species:S:1:pos:R:3 pbc="T T T"
La 0.000 0.000 1.689
La 0.000 0.000 6.793
Zn 0.000 2.787 0.000
Ni 2.192 1.348 0.000
Ni 0.000 1.439 4.241
```

For LaZn2Ni9, DFT lattice parameters and positions (GGA-PBE) gives the theoretical powder XRD pattern in this record (Cu Kα X-rays).
No peak broadening, texture or thermal motion is included.

Top 10 peaks for 10° ≤ 2θ ≤ 90°, in order of rising 2θ:
34.84°, d 2.575, I = 20.3; 36.44°, d 2.466, I = 31.2; 39.77°, d 2.267, I = 100.0; 43.97°, d 2.059, I = 40.4; 44.37°, d 2.042, I = 38.8; 45.43°, d 1.997, I = 72.5; 45.95°, d 1.975, I = 49.8; 50.10°, d 1.821, I = 18.4; 69.42°, d 1.354, I = 16.3; 71.01°, d 1.327, I = 17.9

Structural model:
```
24
Lattice="8.143 0.000 0.000 0.000 8.143 0.000 0.000 0.000 4.775" Properties=species:S:1:pos:R:3 pbc="T T T"
La 0.000 0.000 0.000
La 4.072 4.072 0.000
Zn 0.949 3.123 0.000
Zn 3.123 7.195 0.000
Zn 5.020 0.949 0.000
Zn 7.195 5.020 0.000
Ni 0.000 4.072 2.387
Ni 0.536 1.733 2.387
Ni 1.449 5.520 1.165
Ni 1.449 5.520 3.610
Ni 1.733 7.607 2.387
Ni 2.339 3.535 2.387
Ni 2.623 1.449 1.165
Ni 2.623 1.449 3.610
Ni 3.535 5.805 2.387
Ni 4.072 0.000 2.387
Ni 4.608 2.339 2.387
Ni 5.520 6.695 1.165
Ni 5.520 6.695 3.610
Ni 5.805 4.608 2.387
Ni 6.410 0.536 2.387
Ni 6.695 2.623 1.165
Ni 6.695 2.623 3.610
Ni 7.607 6.410 2.387
```

For La2Zn5Ni5, DFT lattice parameters and positions (GGA-PBE) gives the theoretical powder XRD pattern in this record (Cu Kα X-rays).
No peak broadening, texture or thermal motion is included.

Top 10 peaks for 10° ≤ 2θ ≤ 90°, in order of rising 2θ:
29.40°, d 3.038, I = 66.8; 34.30°, d 2.615, I = 29.0; 39.64°, d 2.273, I = 41.2; 40.78°, d 2.212, I = 53.0; 40.97°, d 2.203, I = 100.0; 44.29°, d 2.045, I = 40.8; 60.93°, d 1.520, I = 22.5; 65.70°, d 1.421, I = 23.4; 72.28°, d 1.307, I = 20.2; 88.83°, d 1.102, I = 19.9

Structural model:
```
12
Lattice="4.090 0.000 0.000 0.000 5.261 0.000 0.000 0.000 9.039" Properties=species:S:1:pos:R:3 pbc="T T T"
La 0.000 0.000 0.000
La 0.000 2.631 4.520
Zn 2.045 0.000 4.520
Zn 2.045 1.335 2.209
Zn 2.045 1.335 6.831
Zn 2.045 3.926 2.209
Zn 2.045 3.926 6.831
Ni 0.000 0.000 3.012
Ni 0.000 0.000 6.027
Ni 0.000 2.631 1.425
Ni 0.000 2.631 7.614
Ni 2.045 2.631 0.000
```

For LaZnNi5, DFT lattice parameters and positions (GGA-PBE) gives the theoretical powder XRD pattern in this record (Cu Kα X-rays).
No peak broadening, texture or thermal motion is included.

Top 10 peaks for 10° ≤ 2θ ≤ 90°, in order of rising 2θ:
36.50°, d 2.462, I = 36.1; 37.15°, d 2.420, I = 54.9; 39.39°, d 2.287, I = 86.9; 39.50°, d 2.281, I = 100.0; 40.73°, d 2.215, I = 28.0; 43.19°, d 2.095, I = 34.6; 44.13°, d 2.052, I = 31.6; 46.20°, d 1.965, I = 40.2; 46.36°, d 1.959, I = 27.3; 47.03°, d 1.932, I = 42.8

Structural model:
```
28
Lattice="7.984 0.000 0.000 0.000 4.923 0.000 0.000 0.000 10.160" Properties=species:S:1:pos:R:3 pbc="T T T"
La 1.950 1.231 0.584
La 2.042 3.693 5.664
La 5.942 1.231 4.495
La 6.034 3.693 9.575
Zn 1.149 3.693 8.705
Zn 2.843 1.231 3.626
Zn 5.141 3.693 6.534
Zn 6.835 1.231 1.454
Ni 0.464 3.693 1.040
Ni 0.524 0.015 3.139
Ni 0.524 2.447 3.139
Ni 0.805 1.231 5.262
Ni 1.476 1.231 7.639
Ni 2.516 3.693 2.559
Ni 3.187 3.693 0.182
Ni 3.468 2.476 8.219
Ni 3.468 4.909 8.219
Ni 3.528 1.231 6.120
Ni 4.456 3.693 4.040
Ni 4.516 0.015 1.941
Ni 4.516 2.447 1.941
Ni 4.797 1.231 9.978
Ni 5.468 1.231 7.601
Ni 6.508 3.693 2.521
Ni 7.179 3.693 4.898
Ni 7.460 2.476 7.020
Ni 7.460 4.909 7.020
Ni 7.520 1.231 9.120
```

For LaZn9Ni3, DFT lattice parameters and positions (GGA-PBE) gives the theoretical powder XRD pattern in this record (Cu Kα X-rays).
No peak broadening, texture or thermal motion is included.

Top 10 peaks for 10° ≤ 2θ ≤ 90°, in order of rising 2θ:
35.22°, d 2.548, I = 38.3; 35.83°, d 2.506, I = 16.0; 40.64°, d 2.220, I = 100.0; 40.98°, d 2.202, I = 17.9; 41.08°, d 2.197, I = 20.6; 41.38°, d 2.182, I = 56.2; 45.97°, d 1.974, I = 13.8; 46.24°, d 1.963, I = 18.1; 74.40°, d 1.275, I = 14.9; 74.56°, d 1.273, I = 14.8

Structural model:
```
13
Lattice="2.506 -6.317 0.000 2.506 6.317 0.000 -2.486 0.000 6.238" Properties=species:S:1:pos:R:3 pbc="T T T"
La 0.000 0.000 0.000
Zn 0.071 4.073 4.111
Zn 0.002 1.471 4.848
Zn 2.455 4.073 2.128
Zn 2.524 1.471 1.390
Zn 1.263 0.000 3.119
Zn 0.002 -1.471 4.848
Zn 0.071 -4.073 4.111
Zn 2.524 -1.471 1.390
Zn 2.455 -4.073 2.128
Ni -1.243 0.000 3.119
Ni 1.253 3.159 0.000
Ni 1.253 -3.159 0.000
```

For La5Zn4Ni, DFT lattice parameters and positions (GGA-PBE) gives the theoretical powder XRD pattern in this record (Cu Kα X-rays).
No peak broadening, texture or thermal motion is included.

Top 10 peaks for 10° ≤ 2θ ≤ 90°, in order of rising 2θ:
23.90°, d 3.723, I = 12.6; 34.05°, d 2.633, I = 100.0; 42.03°, d 2.150, I = 3.6; 48.92°, d 1.862, I = 17.3; 55.16°, d 1.665, I = 4.8; 60.95°, d 1.520, I = 34.3; 71.69°, d 1.316, I = 10.2; 76.79°, d 1.241, I = 2.0; 81.76°, d 1.178, I = 10.3; 81.88°, d 1.177, I = 3.7

Structural model:
```
10
Lattice="3.725 0.000 0.000 0.000 3.725 0.000 0.000 0.000 18.600" Properties=species:S:1:pos:R:3 pbc="T T T"
La 0.000 0.000 0.000
La 0.000 0.000 3.797
La 0.000 0.000 7.640
La 0.000 0.000 10.960
La 0.000 0.000 14.803
Zn 1.862 1.862 1.904
Zn 1.862 1.862 5.664
Zn 1.862 1.862 12.936
Zn 1.862 1.862 16.696
Ni 1.862 1.862 9.300
```

For La2ZnNi2, DFT lattice parameters and positions (GGA-PBE) gives the theoretical powder XRD pattern in this record (Cu Kα X-rays).
No peak broadening, texture or thermal motion is included.

Top 10 peaks for 10° ≤ 2θ ≤ 90°, in order of rising 2θ:
23.90°, d 3.724, I = 31.9; 32.62°, d 2.745, I = 100.0; 33.34°, d 2.687, I = 70.7; 39.85°, d 2.262, I = 20.4; 40.84°, d 2.210, I = 30.8; 46.80°, d 1.941, I = 35.9; 52.41°, d 1.746, I = 17.6; 54.67°, d 1.679, I = 16.7; 58.67°, d 1.574, I = 27.8; 77.79°, d 1.228, I = 15.2

Structural model:
```
5
Lattice="-2.745 2.745 3.724 2.745 -2.745 3.724 2.745 2.745 -3.724" Properties=species:S:1:pos:R:3 pbc="T T T"
La 2.745 0.000 1.862
La 0.000 2.745 1.862
Zn 0.000 0.000 0.000
Ni 0.000 0.000 2.544
Ni 0.000 0.000 4.903
```

For La3Zn3Ni2, DFT lattice parameters and positions (GGA-PBE) gives the theoretical powder XRD pattern in this record (Cu Kα X-rays).
No peak broadening, texture or thermal motion is included.

Top 10 peaks for 10° ≤ 2θ ≤ 90°, in order of rising 2θ:
29.88°, d 2.990, I = 91.6; 32.02°, d 2.795, I = 95.1; 32.51°, d 2.754, I = 33.7; 33.98°, d 2.638, I = 86.0; 34.44°, d 2.604, I = 99.1; 35.90°, d 2.501, I = 89.8; 37.74°, d 2.384, I = 100.0; 38.11°, d 2.361, I = 87.4; 41.10°, d 2.196, I = 52.8; 53.36°, d 1.717, I = 33.1

Structural model:
```
32
Lattice="7.901 0.000 0.000 0.000 15.814 0.000 0.000 0.000 5.605" Properties=species:S:1:pos:R:3 pbc="T T T"
La 0.270 1.659 0.590
La 0.270 6.248 0.590
La 1.296 3.954 3.466
La 2.655 11.861 0.664
La 3.681 9.566 3.393
La 3.681 14.155 3.393
La 4.220 1.659 2.212
La 4.220 6.248 2.212
La 5.246 3.954 4.942
La 6.606 11.861 2.139
La 7.632 9.566 5.015
La 7.632 14.155 5.015
Zn 1.329 0.558 3.340
Zn 1.329 7.350 3.340
Zn 1.419 11.861 3.418
Zn 2.532 3.954 0.615
Zn 2.622 8.465 0.537
Zn 2.622 15.257 0.537
Zn 5.279 0.558 5.068
Zn 5.279 7.350 5.068
Zn 5.369 11.861 4.990
Zn 6.483 3.954 2.188
Zn 6.573 8.465 2.266
Zn 6.573 15.257 2.266
Ni 0.955 9.639 2.114
Ni 0.955 14.083 2.114
Ni 2.995 1.731 4.917
Ni 2.995 6.176 4.917
Ni 4.906 9.639 0.688
Ni 4.906 14.083 0.688
Ni 6.946 1.731 3.491
Ni 6.946 6.176 3.491
```

For La3Zn7Ni4, DFT lattice parameters and positions (GGA-PBE) gives the theoretical powder XRD pattern in this record (Cu Kα X-rays).
No peak broadening, texture or thermal motion is included.

Top 10 peaks for 10° ≤ 2θ ≤ 90°, in order of rising 2θ:
29.73°, d 3.005, I = 41.0; 34.55°, d 2.596, I = 21.5; 34.69°, d 2.586, I = 80.2; 35.87°, d 2.504, I = 61.7; 35.97°, d 2.496, I = 34.1; 36.46°, d 2.465, I = 86.4; 37.18°, d 2.418, I = 24.7; 39.46°, d 2.284, I = 24.3; 41.31°, d 2.186, I = 31.5; 42.54°, d 2.125, I = 100.0

Structural model:
```
14
Lattice="7.621 -2.126 0.000 7.621 2.126 0.000 -5.115 0.000 7.788" Properties=species:S:1:pos:R:3 pbc="T T T"
La 0.000 0.000 0.000
La 3.095 0.000 2.312
La 7.031 0.000 5.476
Zn -2.558 0.000 3.894
Zn 0.081 0.000 3.218
Zn -0.088 0.000 7.667
Zn 3.900 0.000 5.518
Zn 6.226 0.000 2.270
Zn 10.214 0.000 0.121
Zn 10.045 0.000 4.570
Ni -2.542 0.000 6.419
Ni 1.414 0.000 5.542
Ni 8.712 0.000 2.245
Ni 12.668 0.000 1.368
```

For La2Zn12Ni5, DFT lattice parameters and positions (GGA-PBE) gives the theoretical powder XRD pattern in this record (Cu Kα X-rays).
No peak broadening, texture or thermal motion is included.

Top 10 peaks for 10° ≤ 2θ ≤ 90°, in order of rising 2θ:
28.95°, d 3.084, I = 25.7; 34.53°, d 2.598, I = 36.6; 36.50°, d 2.462, I = 36.1; 40.08°, d 2.250, I = 71.6; 40.75°, d 2.214, I = 100.0; 42.47°, d 2.129, I = 26.1; 42.70°, d 2.117, I = 37.3; 45.67°, d 1.987, I = 38.3; 47.23°, d 1.925, I = 19.4; 76.86°, d 1.240, I = 19.6

Structural model:
```
19
Lattice="4.499 2.598 4.235 -4.499 2.598 4.235 0.000 -5.195 4.235" Properties=species:S:1:pos:R:3 pbc="T T T"
La 0.000 0.000 2.072
La 0.000 0.000 10.633
Zn 0.000 -2.478 4.044
Zn -2.146 1.239 4.044
Zn -1.266 -2.192 6.352
Zn -2.531 0.000 6.352
Zn -2.146 -1.239 8.661
Zn 1.266 -2.192 6.352
Zn -1.266 2.192 6.352
Zn 2.146 1.239 4.044
Zn 2.531 0.000 6.352
Zn 1.266 2.192 6.352
Zn 2.146 -1.239 8.661
Zn 0.000 2.478 8.661
Ni -2.250 -1.299 4.235
Ni 0.000 0.000 5.021
Ni -2.250 1.299 8.470
Ni 0.000 2.598 4.235
Ni 0.000 0.000 7.684
```

For LaNp4, DFT lattice parameters and positions (GGA-PBE) gives the theoretical powder XRD pattern in this record (Cu Kα X-rays).
No peak broadening, texture or thermal motion is included.

Top 10 peaks for 10° ≤ 2θ ≤ 90°, in order of rising 2θ:
16.43°, d 5.397, I = 8.8; 28.65°, d 3.116, I = 100.0; 33.20°, d 2.698, I = 93.8; 47.66°, d 1.908, I = 69.9; 56.56°, d 1.627, I = 47.4; 59.32°, d 1.558, I = 24.6; 69.70°, d 1.349, I = 11.5; 77.02°, d 1.238, I = 19.7; 79.41°, d 1.207, I = 32.4; 88.83°, d 1.102, I = 25.6

Structural model:
```
5
Lattice="5.397 0.000 0.000 0.000 5.397 0.000 0.000 0.000 5.397" Properties=species:S:1:pos:R:3 pbc="T T T"
La 0.000 0.000 0.000
Np 0.000 0.000 2.698
Np 0.000 2.698 0.000
Np 2.698 0.000 0.000
Np 2.698 2.698 2.698
```

Question: Number 3 is which compound?
Answer: La2Zn5Ni5